[1]
Starting from DFT lattice parameters and positions (PBE), the PXRD pattern of Ni4Te3N2 was simulated for Cu Kα, 1.54184 Å.
Peak positions follow from Bragg's law for the DFT cell and can differ from measured ones.

Peak list (12 most intense, 10° ≤ 2θ ≤ 90°, by angle)
two_theta, I (rel.)
24.19, 38.9
25.87, 24.6
29.39, 27.2
30.00, 23.1
30.71, 36.4
31.62, 57.4
35.06, 100.0
42.14, 24.1
42.50, 45.3
42.82, 96.8
46.61, 33.8
51.28, 33.1

Structure:
Lattice parameters (Å, degrees): 6.463 13.424 3.563 90.00 90.00 90.00
Element x y z (fractional)
Ni 0.141 0.101 0.000
Ni 0.171 0.942 0.500
Ni 0.329 0.442 0.000
Ni 0.359 0.601 0.500
Ni 0.641 0.399 0.500
Ni 0.671 0.558 0.000
Ni 0.829 0.058 0.500
Ni 0.859 0.899 0.000
Te 0.000 0.500 0.500
Te 0.203 0.798 0.000
Te 0.297 0.298 0.500
Te 0.500 0.000 0.000
Te 0.703 0.702 0.500
Te 0.797 0.202 0.000
N 0.122 0.083 0.500
N 0.378 0.583 0.000
N 0.622 0.417 0.000
N 0.878 0.917 0.500

=====

[2]
Starting from DFT lattice parameters and positions (PBE), the PXRD pattern of Li2Sm2ErMg5 was simulated for Cu Kα, 1.54184 Å.
Peak positions follow from Bragg's law for the DFT cell and can differ from measured ones.

Peak list (12 most intense, 10° ≤ 2θ ≤ 90°, by angle)
two_theta, I (rel.)
11.79, 24.8
18.69, 53.6
19.96, 44.8
23.70, 31.3
26.55, 43.8
27.48, 73.2
31.18, 54.9
33.44, 100.0
34.84, 42.4
40.52, 43.3
50.10, 21.9
54.48, 55.9

Structure:
Lattice parameters (Å, degrees): 10.617 10.617 4.448 90.00 90.00 90.00
Element x y z (fractional)
Li 0.115 0.385 0.000
Li 0.385 0.885 0.000
Li 0.615 0.115 0.000
Li 0.885 0.615 0.000
Sm 0.180 0.680 0.000
Sm 0.320 0.180 0.000
Sm 0.680 0.820 0.000
Sm 0.820 0.320 0.000
Er 0.000 0.000 0.000
Er 0.500 0.500 0.000
Mg 0.000 0.500 0.500
Mg 0.062 0.213 0.500
Mg 0.213 0.938 0.500
Mg 0.287 0.438 0.500
Mg 0.438 0.713 0.500
Mg 0.500 0.000 0.500
Mg 0.562 0.287 0.500
Mg 0.713 0.562 0.500
Mg 0.787 0.062 0.500
Mg 0.938 0.787 0.500

=====

[3]
Starting from DFT lattice parameters and positions (PBE), the PXRD pattern of TaSeS was simulated for Cu Kα, 1.54184 Å.
Peak positions follow from Bragg's law for the DFT cell and can differ from measured ones.

Peak list (12 most intense, 10° ≤ 2θ ≤ 90°, by angle)
two_theta, I (rel.)
12.93, 100.0
30.60, 18.6
31.53, 40.8
35.07, 25.8
37.52, 39.4
43.49, 31.1
46.91, 11.5
53.79, 19.0
54.43, 8.6
55.57, 15.0
67.42, 7.1
79.32, 7.8

Structure:
Lattice parameters (Å, degrees): 3.409 3.409 7.124 103.91 103.91 60.01
Element x y z (fractional)
Ta 0.000 0.000 0.000
Se 0.418 0.418 0.252
S 0.260 0.260 0.780

=====

[4]
Starting from DFT lattice parameters and positions (PBE), the PXRD pattern of KLa2HgF was simulated for Cu Kα, 1.54184 Å.
Peak positions follow from Bragg's law for the DFT cell and can differ from measured ones.

Peak list (12 most intense, 10° ≤ 2θ ≤ 90°, by angle)
two_theta, I (rel.)
17.70, 19.9
22.34, 13.6
27.22, 33.4
28.64, 100.0
35.84, 32.3
45.58, 32.6
49.00, 22.9
51.59, 11.3
59.31, 16.5
60.07, 24.9
68.43, 9.5
73.90, 13.6

Structure:
Lattice parameters (Å, degrees): 5.011 5.011 6.552 90.00 90.00 90.00
Element x y z (fractional)
K 0.000 0.000 0.000
La 0.000 0.500 0.500
La 0.500 0.000 0.500
Hg 0.500 0.500 0.000
F 0.500 0.500 0.500

=====

[5]
Starting from DFT lattice parameters and positions (PBE), the PXRD pattern of PmCd4Pd was simulated for Cu Kα, 1.54184 Å.
Peak positions follow from Bragg's law for the DFT cell and can differ from measured ones.

Peak list (12 most intense, 10° ≤ 2θ ≤ 90°, by angle)
two_theta, I (rel.)
29.40, 17.4
31.82, 100.0
33.53, 59.6
36.21, 15.6
37.74, 24.8
38.25, 59.9
39.69, 26.3
42.03, 33.6
42.12, 36.2
61.01, 19.4
63.39, 21.2
66.48, 16.1

Structure:
Lattice parameters (Å, degrees): 8.602 4.291 7.443 90.00 90.00 90.00
Element x y z (fractional)
Pm 0.250 0.000 0.104
Pm 0.750 0.000 0.896
Cd 0.000 0.000 0.500
Cd 0.049 0.500 0.811
Cd 0.250 0.500 0.443
Cd 0.451 0.500 0.811
Cd 0.500 0.000 0.500
Cd 0.549 0.500 0.189
Cd 0.750 0.500 0.557
Cd 0.951 0.500 0.189
Pd 0.250 0.000 0.721
Pd 0.750 0.000 0.279

=====

[6]
Starting from DFT lattice parameters and positions (PBE), the PXRD pattern of UCu3Cl9 was simulated for Cu Kα, 1.54184 Å.
Peak positions follow from Bragg's law for the DFT cell and can differ from measured ones.

Peak list (12 most intense, 10° ≤ 2θ ≤ 90°, by angle)
two_theta, I (rel.)
11.41, 25.1
11.99, 36.9
12.52, 32.9
14.51, 32.6
16.68, 100.0
17.93, 33.4
18.03, 33.6
19.13, 38.1
20.39, 27.9
22.94, 25.1
24.11, 33.7
32.80, 28.4

Structure:
Lattice parameters (Å, degrees): 9.951 9.951 12.313 121.82 121.82 55.52
Element x y z (fractional)
U 0.234 0.766 0.500
U 0.766 0.234 0.000
Cu 0.353 0.947 0.096
Cu 0.490 0.765 0.267
Cu 0.765 0.490 0.767
Cu 0.765 0.861 0.089
Cu 0.861 0.765 0.589
Cu 0.947 0.353 0.596
Cl 0.051 0.522 0.636
Cl 0.066 0.880 0.652
Cl 0.075 0.182 0.049
Cl 0.182 0.075 0.549
Cl 0.285 0.469 0.450
Cl 0.290 0.754 0.068
Cl 0.406 0.649 0.350
Cl 0.469 0.285 0.950
Cl 0.503 0.751 0.708
Cl 0.522 0.051 0.136
Cl 0.624 0.914 0.459
Cl 0.649 0.406 0.850
Cl 0.751 0.503 0.208
Cl 0.754 0.290 0.568
Cl 0.794 0.954 0.804
Cl 0.880 0.066 0.152
Cl 0.914 0.624 0.959
Cl 0.954 0.794 0.304

=====

Number 5 is which compound? PmCd4Pd